Record 1
This entry pairs a crystal structure of Na2MnI5 with its calculated PXRD pattern. Radiation: CuKα. Structure: the GGA-PBE geometry in Alexandria.
Neutral-atom scattering factors, no anomalous dispersion.

Top 6 peaks for 2θ = 15–90°, by intensity:
(2 0 -2), 24.87 deg, I = 100
(2 2 -1), 23.47 deg, I = 86
(0 4 0), 34.96 deg, I = 78
(0 2 1), 23.16 deg, I = 73
(1 1 1), 23.88 deg, I = 65
(3 1 -1), 24.49 deg, I = 63

Structure:
Cell: 11.6783 10.2631 7.1627 Å, 90.00 126.03 90.00°
Space group Cm (No. 8)
Unique sites:
Na: 0.0000 0.2186 0.0000 (multiplicity 4)
Mn: 0.1811 0.0000 0.5919 (multiplicity 2)
I: 0.1788 0.0000 0.9755 (multiplicity 2)
I: 0.1810 0.2603 0.5499 (multiplicity 4)
I: 0.4084 0.5000 0.2168 (multiplicity 2)
I: 0.4639 0.0000 0.7973 (multiplicity 2)

***

Record 2
This entry pairs a crystal structure of ZrNi8Pt3 with its calculated PXRD pattern. Radiation: CuKα. Structure: the GGA-PBE geometry in Alexandria.
Neutral-atom scattering factors, no anomalous dispersion.

Top 6 peaks for 2θ = 15–90°, by intensity:
(1 1 2), 44.52 deg, I = 100
(1 0 3), 41.24 deg, I = 99
(1 1 0), 37.58 deg, I = 67
(0 2 1), 45.30 deg, I = 56
(2 1 3), 70.32 deg, I = 39
(2 0 5), 76.92 deg, I = 27

Structure:
Cell: 4.7865 4.7865 7.7323 Å, 90.00 90.00 120.00°
Space group P3m1 (No. 156)
Unique sites:
Zr: 0.0000 0.0000 0.0000 (multiplicity 1)
Ni: 0.1647 0.3293 0.6798 (multiplicity 3)
Ni: 0.3333 0.6667 0.4299 (multiplicity 1)
Ni: 0.3333 0.6667 0.9310 (multiplicity 1)
Ni: 0.5029 0.0057 0.1871 (multiplicity 3)
Pt: 0.0000 0.0000 0.3734 (multiplicity 1)
Pt: 0.6667 0.3333 0.4986 (multiplicity 1)
Pt: 0.6667 0.3333 0.8740 (multiplicity 1)